MgCd6Pd: theoretical powder X-ray diffraction pattern (λ = 1.5418 Å (Cu Kα)), based on a GGA-PBE-relaxed structure.

Most intense lines, 2θ = 5–70°, most intense first:
| two_theta | I_rel | (hkl) |
| --- | --- | --- |
| 25.9 | 1000 | 0 2 1 |
| 37.3 | 957 | 1 2 2 |
| 33.4 | 443 | 2 1 1 |
| 46.6 | 400 | 3 0 3 |
| 28.1 | 332 | 0 0 3 |
| 45.3 | 319 | 0 2 4 |
| 50.3 | 249 | 2 1 4 |
| 42.4 | 216 | 2 2 0 |
| 66.2 | 185 | 5 0 2 |
| 39.7 | 144 | 1 0 4 |

Structure:
```
data_MgCd6Pd
_cell_length_a 8.5318
_cell_length_b 8.5318
_cell_length_c 9.5385
_cell_angle_alpha 90.00
_cell_angle_beta 90.00
_cell_angle_gamma 120.00
_space_group_name_H-M_alt 'R -3 m'
_space_group_IT_number 166
_space_group_name_Hall '-R 3 2"'
loop_
_atom_site_label
_atom_site_type_symbol
_atom_site_fract_x
_atom_site_fract_y
_atom_site_fract_z
Mg1 Mg 0.0000 0.0000 0.0000
Cd1 Cd 0.0781 0.5391 0.3635
Pd1 Pd 0.0000 0.0000 0.5000
```

=====

Mg2Cd5Pd: theoretical powder X-ray diffraction pattern (λ = 1.5418 Å (Cu Kα)), based on a GGA-PBE-relaxed structure.

Most intense lines, 2θ = 5–70°, most intense first:
| two_theta | I_rel | (hkl) |
| --- | --- | --- |
| 36.3 | 1000 | 2 0 1 |
| 36.1 | 984 | 2 4 0 |
| 38.6 | 824 | 0 4 1 |
| 17.8 | 348 | 1 2 0 |
| 63.4 | 281 | 4 4 1 |
| 68.4 | 269 | 2 4 2 |
| 68.1 | 213 | 2 8 1 |
| 48.3 | 180 | 4 0 0 |
| 32.7 | 165 | 1 2 1 |
| 56.0 | 145 | 0 0 2 |

Structure:
```
data_Mg2Cd5Pd
_cell_length_a 7.5427
_cell_length_b 13.2610
_cell_length_c 3.2848
_cell_angle_alpha 90.00
_cell_angle_beta 90.00
_cell_angle_gamma 90.00
_space_group_name_H-M_alt 'P b a m'
_space_group_IT_number 55
_space_group_name_Hall '-P 2 2ab'
loop_
_atom_site_label
_atom_site_type_symbol
_atom_site_fract_x
_atom_site_fract_y
_atom_site_fract_z
Mg1 Mg 0.2125 0.1154 0.0000
Cd1 Cd 0.0000 0.5000 0.5000
Cd2 Cd 0.0050 0.7309 0.5000
Cd3 Cd 0.2203 0.8789 0.0000
Pd1 Pd 0.0000 0.0000 0.5000
```

=====

MgCd2Pd8: theoretical powder X-ray diffraction pattern (λ = 1.5418 Å (Cu Kα)), based on a GGA-PBE-relaxed structure.

Most intense lines, 2θ = 5–70°, most intense first:
| two_theta | I_rel | (hkl) |
| --- | --- | --- |
| 39.4 | 1000 | 0 4 1 |
| 40.1 | 811 | 3 1 1 |
| 41.7 | 774 | 0 0 2 |
| 34.5 | 242 | 2 2 1 |
| 60.5 | 217 | 3 3 2 |
| 27.4 | 195 | 2 2 0 |
| 54.3 | 182 | 3 5 0 |
| 46.9 | 104 | 3 3 1 |
| 69.1 | 96 | 6 0 0 |
| 20.5 | 92 | 0 0 1 |

Structure:
```
data_MgCd2Pd8
_cell_length_a 8.1544
_cell_length_b 10.7717
_cell_length_c 4.3269
_cell_angle_alpha 90.00
_cell_angle_beta 90.00
_cell_angle_gamma 90.00
_space_group_name_H-M_alt 'C m m m'
_space_group_IT_number 65
_space_group_name_Hall '-C 2 2'
loop_
_atom_site_label
_atom_site_type_symbol
_atom_site_fract_x
_atom_site_fract_y
_atom_site_fract_z
Mg1 Mg 0.0000 0.0000 0.0000
Cd1 Cd 0.0000 0.3726 0.5000
Pd1 Pd 0.0000 0.2357 0.0000
Pd2 Pd 0.1694 0.1310 0.5000
Pd3 Pd 0.1721 0.5000 0.0000
```

=====

MgCd3Pd3: theoretical powder X-ray diffraction pattern (λ = 1.5418 Å (Cu Kα)), based on a GGA-PBE-relaxed structure.

Most intense lines, 2θ = 5–70°, most intense first:
| two_theta | I_rel | (hkl) |
| --- | --- | --- |
| 40.2 | 1000 | 2 2 2 |
| 38.5 | 283 | 0 4 0 |
| 39.2 | 259 | 4 0 0 |
| 56.1 | 173 | 4 4 0 |
| 19.3 | 130 | 2 0 0 |
| 13.5 | 95 | 1 1 0 |
| 32.1 | 77 | 1 1 2 |
| 60.1 | 75 | 0 0 4 |
| 30.7 | 64 | 3 1 0 |
| 34.9 | 62 | 0 2 2 |

Structure:
```
data_MgCd3Pd3
_cell_length_a 9.1944
_cell_length_b 9.3445
_cell_length_c 6.1575
_cell_angle_alpha 90.00
_cell_angle_beta 90.00
_cell_angle_gamma 90.00
_space_group_name_H-M_alt 'C m m m'
_space_group_IT_number 65
_space_group_name_Hall '-C 2 2'
loop_
_atom_site_label
_atom_site_type_symbol
_atom_site_fract_x
_atom_site_fract_y
_atom_site_fract_z
Mg1 Mg 0.0000 0.2456 0.0000
Cd1 Cd 0.0000 0.2625 0.5000
Cd2 Cd 0.2332 0.5000 0.5000
Cd3 Cd 0.2340 0.5000 0.0000
Pd1 Pd 0.0000 0.0000 0.2514
Pd2 Pd 0.2500 0.2500 0.2440
```

=====

Mg8Cd3Pd: theoretical powder X-ray diffraction pattern (λ = 1.5418 Å (Cu Kα)), based on a GGA-PBE-relaxed structure.

Most intense lines, 2θ = 5–70°, most intense first:
| two_theta | I_rel | (hkl) |
| --- | --- | --- |
| 38.2 | 1000 | 2 2 4 |
| 23.3 | 901 | 2 0 2 |
| 23.0 | 891 | 0 2 2 |
| 45.0 | 442 | 2 4 2 |
| 45.6 | 280 | 4 2 2 |
| 38.0 | 255 | 0 4 0 |
| 38.8 | 239 | 4 0 0 |
| 26.9 | 184 | 2 2 0 |
| 55.4 | 160 | 4 4 0 |
| 68.7 | 160 | 2 6 4 |

Structure:
```
data_Mg8Cd3Pd
_cell_length_a 9.2860
_cell_length_b 9.4785
_cell_length_c 13.4140
_cell_angle_alpha 90.00
_cell_angle_beta 90.00
_cell_angle_gamma 90.00
_space_group_name_H-M_alt 'F m m m'
_space_group_IT_number 69
_space_group_name_Hall '-F 2 2'
loop_
_atom_site_label
_atom_site_type_symbol
_atom_site_fract_x
_atom_site_fract_y
_atom_site_fract_z
Mg1 Mg 0.0000 0.2380 0.1161
Mg2 Mg 0.2374 0.0000 0.1200
Cd1 Cd 0.0000 0.0000 0.5000
Cd2 Cd 0.2500 0.2500 0.2500
Pd1 Pd 0.0000 0.0000 0.0000
```

=====

Mg3Cd3Pd2: theoretical powder X-ray diffraction pattern (λ = 1.5418 Å (Cu Kα)), based on a GGA-PBE-relaxed structure.

Most intense lines, 2θ = 5–70°, most intense first:
| two_theta | I_rel | (hkl) |
| --- | --- | --- |
| 37.4 | 1000 | 2 1 0 |
| 46.8 | 718 | 2 1 1 |
| 36.7 | 641 | 1 1 1 |
| 27.1 | 632 | 0 0 1 |
| 39.4 | 432 | 2 0 1 |
| 24.2 | 364 | 1 1 0 |
| 69.2 | 306 | 2 1 2 |
| 28.0 | 200 | 2 0 0 |
| 42.6 | 183 | 3 0 0 |
| 67.4 | 168 | 4 1 0 |

Structure:
```
data_Mg3Cd3Pd2
_cell_length_a 7.3510
_cell_length_b 7.3510
_cell_length_c 3.2892
_cell_angle_alpha 90.00
_cell_angle_beta 90.00
_cell_angle_gamma 120.00
_space_group_name_H-M_alt 'P -6 2 m'
_space_group_IT_number 189
_space_group_name_Hall 'P -6 -2'
loop_
_atom_site_label
_atom_site_type_symbol
_atom_site_fract_x
_atom_site_fract_y
_atom_site_fract_z
Mg1 Mg 0.0000 0.5808 0.0000
Cd1 Cd 0.0000 0.2320 0.5000
Pd1 Pd 0.3333 0.6667 0.5000
```

=====

TmMgCdPd: theoretical powder X-ray diffraction pattern (λ = 1.5418 Å (Cu Kα)), based on a GGA-PBE-relaxed structure.

Most intense lines, 2θ = 5–70°, most intense first:
| two_theta | I_rel | (hkl) |
| --- | --- | --- |
| 36.2 | 1000 | 1 0 2 |
| 37.7 | 487 | 1 1 0 |
| 67.1 | 320 | 2 1 2 |
| 29.2 | 316 | 1 0 1 |
| 12.1 | 295 | 0 0 1 |
| 54.4 | 166 | 2 0 0 |
| 64.2 | 140 | 1 1 4 |
| 53.7 | 93 | 1 1 3 |
| 49.8 | 76 | 0 0 4 |
| 62.9 | 72 | 2 1 1 |

Structure:
```
data_TmMgCdPd
_cell_length_a 3.3729
_cell_length_b 3.3729
_cell_length_c 7.3189
_cell_angle_alpha 90.00
_cell_angle_beta 90.00
_cell_angle_gamma 90.00
_space_group_name_H-M_alt 'P 4 m m'
_space_group_IT_number 99
_space_group_name_Hall 'P 4 -2'
loop_
_atom_site_label
_atom_site_type_symbol
_atom_site_fract_x
_atom_site_fract_y
_atom_site_fract_z
Tm1 Tm 0.0000 0.0000 0.0000
Mg1 Mg 0.0000 0.0000 0.4427
Cd1 Cd 0.5000 0.5000 0.6966
Pd1 Pd 0.5000 0.5000 0.2309
```

=====

PmMg10Cd2: theoretical powder X-ray diffraction pattern (λ = 1.5418 Å (Cu Kα)), based on a GGA-PBE-relaxed structure.

Most intense lines, 2θ = 5–70°, most intense first:
| two_theta | I_rel | (hkl) |
| --- | --- | --- |
| 12.4 | 1000 | 0 0 2 |
| 34.9 | 844 | 2 2 2 |
| 35.5 | 743 | 0 4 4 |
| 28.0 | 346 | 0 4 2 |
| 24.7 | 339 | 1 3 1 |
| 30.5 | 290 | 1 3 3 |
| 41.3 | 258 | 2 2 4 |
| 35.3 | 245 | 1 1 5 |
| 17.2 | 231 | 1 1 1 |
| 25.0 | 214 | 0 4 0 |

Structure:
```
data_PmMg10Cd2
_cell_length_a 5.9730
_cell_length_b 14.2443
_cell_length_c 14.3372
_cell_angle_alpha 90.00
_cell_angle_beta 90.00
_cell_angle_gamma 90.00
_space_group_name_H-M_alt 'F m m m'
_space_group_IT_number 69
_space_group_name_Hall '-F 2 2'
loop_
_atom_site_label
_atom_site_type_symbol
_atom_site_fract_x
_atom_site_fract_y
_atom_site_fract_z
Pm1 Pm 0.0000 0.0000 0.0000
Mg1 Mg 0.0000 0.1076 0.3948
Mg2 Mg 0.0000 0.1767 0.1734
Mg3 Mg 0.2500 0.0000 0.2500
Cd1 Cd 0.2500 0.2500 0.0000
```